No. 1
Starting from a PBE-relaxed structure, the powder diffraction line list of Ho2InHg4 was simulated for λ = 1.5418 Å (Cu Kα).
Lines closer than 0.1° are merged.

Crystal structure
a b c (Å): 8.600 8.600 8.600
angles (deg): 34.43 34.43 34.43
Sites, in units of the cell vectors:
1 Ho 0.243 0.243 0.243
2 Ho 0.757 0.757 0.757
3 In 0.500 0.500 0.500
4 Hg 0.110 0.110 0.110
5 Hg 0.368 0.368 0.368
6 Hg 0.632 0.632 0.632
7 Hg 0.890 0.890 0.890

Top 8 peaks for 10° ≤ 2θ ≤ 80°, by angle:
Position (°2θ)  Rel. int.
24.98  16
32.89  21
35.27  100
35.96  73
51.25  27
63.29  19
63.74  28
68.81  17

No. 2
Starting from a PBE-relaxed structure, the powder diffraction line list of Ho3InHg5 was simulated for λ = 1.5418 Å (Cu Kα).
Lines closer than 0.1° are merged.

Crystal structure
a b c (Å): 8.929 8.929 6.348
angles (deg): 90.00 90.00 120.00
Sites, in units of the cell vectors:
1 Ho 0.000 0.340 0.250
2 Ho 0.000 0.660 0.750
3 Ho 0.340 0.000 0.250
4 Ho 0.340 0.340 0.750
5 Ho 0.660 0.000 0.750
6 Ho 0.660 0.660 0.250
7 In 0.000 0.000 0.000
8 In 0.000 0.000 0.500
9 Hg 0.000 0.328 0.750
10 Hg 0.000 0.672 0.250
11 Hg 0.328 0.000 0.750
12 Hg 0.328 0.328 0.250
13 Hg 0.333 0.667 0.000
14 Hg 0.333 0.667 0.500
15 Hg 0.667 0.333 0.000
16 Hg 0.667 0.333 0.500
17 Hg 0.672 0.000 0.250
18 Hg 0.672 0.672 0.750

Top 8 peaks for 10° ≤ 2θ ≤ 80°, by angle:
Position (°2θ)  Rel. int.
34.67  89
34.80  100
45.32  12
49.95  32
58.12  8
62.34  51
69.56  27
73.47  12

No. 3
Starting from a PBE-relaxed structure, the powder diffraction line list of Pm2HoIn3Hg6 was simulated for λ = 1.5418 Å (Cu Kα).
Lines closer than 0.1° are merged.

Crystal structure
a b c (Å): 4.276 4.276 20.287
angles (deg): 90.00 90.00 90.00
Sites, in units of the cell vectors:
1 Pm 0.000 0.000 0.219
2 Pm 0.000 0.000 0.781
3 Ho 0.000 0.000 0.500
4 In 0.500 0.500 0.000
5 In 0.500 0.500 0.281
6 In 0.500 0.500 0.719
7 Hg 0.000 0.500 0.389
8 Hg 0.000 0.500 0.611
9 Hg 0.500 0.000 0.389
10 Hg 0.500 0.000 0.611
11 Hg 0.500 0.500 0.138
12 Hg 0.500 0.500 0.862

Top 8 peaks for 10° ≤ 2θ ≤ 80°, by angle:
Position (°2θ)  Rel. int.
21.23  55
29.88  89
32.44  68
34.54  90
37.08  58
37.49  97
42.27  100
72.31  57

No. 4
Starting from a PBE-relaxed structure, the powder diffraction line list of PmHo2In2Hg2 was simulated for λ = 1.5418 Å (Cu Kα).
Lines closer than 0.1° are merged.

Crystal structure
a b c (Å): 9.339 9.339 9.339
angles (deg): 30.75 30.75 30.75
Sites, in units of the cell vectors:
1 Pm 0.000 0.000 0.000
2 Ho 0.132 0.132 0.132
3 Ho 0.868 0.868 0.868
4 In 0.267 0.267 0.267
5 In 0.733 0.733 0.733
6 Hg 0.430 0.430 0.430
7 Hg 0.570 0.570 0.570

Top 8 peaks for 10° ≤ 2θ ≤ 80°, by angle:
Position (°2θ)  Rel. int.
19.97  9
31.41  100
36.28  85
48.73  30
52.56  12
62.24  28
65.27  15
77.03  10

No. 5
Starting from a PBE-relaxed structure, the powder diffraction line list of Tb2HoIn3Hg6 was simulated for λ = 1.5418 Å (Cu Kα).
Lines closer than 0.1° are merged.

Crystal structure
a b c (Å): 4.222 4.222 20.349
angles (deg): 90.00 90.00 90.00
Sites, in units of the cell vectors:
1 Tb 0.000 0.000 0.216
2 Tb 0.000 0.000 0.784
3 Ho 0.000 0.000 0.500
4 In 0.500 0.500 0.000
5 In 0.500 0.500 0.278
6 In 0.500 0.500 0.722
7 Hg 0.000 0.500 0.388
8 Hg 0.000 0.500 0.612
9 Hg 0.500 0.000 0.388
10 Hg 0.500 0.000 0.612
11 Hg 0.500 0.500 0.137
12 Hg 0.500 0.500 0.863

Top 8 peaks for 10° ≤ 2θ ≤ 80°, by angle:
Position (°2θ)  Rel. int.
21.49  53
30.26  89
32.77  75
34.84  91
37.36  52
37.57  100
42.84  99
58.27  56

No. 6
Starting from a PBE-relaxed structure, the powder diffraction line list of La2HoHg8 was simulated for λ = 1.5418 Å (Cu Kα).
Lines closer than 0.1° are merged.

Crystal structure
a b c (Å): 8.680 8.680 8.680
angles (deg): 144.66 128.52 63.99
Sites, in units of the cell vectors:
1 La 0.198 0.198 0.000
2 La 0.802 0.802 0.000
3 Ho 0.500 0.500 0.000
4 Hg 0.071 0.363 0.708
5 Hg 0.219 0.000 0.219
6 Hg 0.344 0.844 0.500
7 Hg 0.345 0.637 0.708
8 Hg 0.655 0.363 0.292
9 Hg 0.656 0.156 0.500
10 Hg 0.781 0.000 0.781
11 Hg 0.929 0.637 0.292

Top 8 peaks for 10° ≤ 2θ ≤ 80°, by angle:
Position (°2θ)  Rel. int.
31.94  26
34.02  37
34.49  100
34.90  13
36.26  12
36.62  14
61.19  19
69.72  12

No. 7
Starting from a PBE-relaxed structure, the powder diffraction line list of LaHoHg4 was simulated for λ = 1.5418 Å (Cu Kα).
Lines closer than 0.1° are merged.

Crystal structure
a b c (Å): 4.000 5.289 7.751
angles (deg): 90.00 105.05 90.00
Sites, in units of the cell vectors:
1 La 0.000 0.000 0.000
2 Ho 0.784 0.500 0.578
3 Hg 0.121 0.500 0.256
4 Hg 0.327 0.000 0.652
5 Hg 0.449 0.500 0.904
6 Hg 0.670 0.000 0.340

Top 8 peaks for 10° ≤ 2θ ≤ 80°, by angle:
Position (°2θ)  Rel. int.
28.60  14
33.34  100
33.90  28
36.00  12
39.96  18
45.35  13
57.80  13
60.29  28

No. 8
Starting from a PBE-relaxed structure, the powder diffraction line list of La2Ho6Hg was simulated for λ = 1.5418 Å (Cu Kα).
Lines closer than 0.1° are merged.

Crystal structure
a b c (Å): 9.730 10.276 5.522
angles (deg): 90.00 90.00 90.00
Sites, in units of the cell vectors:
1 La 0.187 0.247 0.000
2 La 0.313 0.747 0.500
3 La 0.687 0.253 0.500
4 La 0.813 0.753 0.000
5 Ho 0.015 0.182 0.500
6 Ho 0.139 0.602 0.000
7 Ho 0.184 0.923 0.000
8 Ho 0.316 0.423 0.500
9 Ho 0.361 0.102 0.500
10 Ho 0.485 0.682 0.000
11 Ho 0.515 0.318 0.000
12 Ho 0.639 0.898 0.500
13 Ho 0.684 0.577 0.500
14 Ho 0.816 0.077 0.000
15 Ho 0.861 0.398 0.000
16 Ho 0.985 0.818 0.500
17 Hg 0.000 0.500 0.500
18 Hg 0.500 0.000 0.000

Top 8 peaks for 10° ≤ 2θ ≤ 80°, by angle:
Position (°2θ)  Rel. int.
30.72  19
31.99  100
32.10  50
32.43  42
35.95  14
46.17  17
57.13  19
57.59  25

No. 9
Starting from a PBE-relaxed structure, the powder diffraction line list of LaHo4Hg4 was simulated for λ = 1.5418 Å (Cu Kα).
Lines closer than 0.1° are merged.

Crystal structure
a b c (Å): 9.674 9.674 5.467
angles (deg): 90.00 90.00 90.00
Sites, in units of the cell vectors:
1 La 0.250 0.250 0.250
2 La 0.750 0.750 0.750
3 Ho 0.104 0.840 0.680
4 Ho 0.160 0.604 0.180
5 Ho 0.340 0.896 0.180
6 Ho 0.396 0.660 0.680
7 Ho 0.604 0.340 0.320
8 Ho 0.660 0.104 0.820
9 Ho 0.840 0.396 0.820
10 Ho 0.896 0.160 0.320
11 Hg 0.040 0.144 0.820
12 Hg 0.144 0.460 0.680
13 Hg 0.356 0.040 0.680
14 Hg 0.460 0.356 0.820
15 Hg 0.540 0.644 0.180
16 Hg 0.644 0.960 0.320
17 Hg 0.856 0.540 0.320
18 Hg 0.960 0.856 0.180

Top 8 peaks for 10° ≤ 2θ ≤ 80°, by angle:
Position (°2θ)  Rel. int.
26.27  25
29.19  77
32.23  65
32.76  30
34.09  27
37.33  100
38.98  31
63.94  31

No. 10
Starting from a PBE-relaxed structure, the powder diffraction line list of La6HoHg5 was simulated for λ = 1.5418 Å (Cu Kα).
Lines closer than 0.1° are merged.

Crystal structure
a b c (Å): 5.475 7.908 8.868
angles (deg): 90.00 107.91 90.00
Sites, in units of the cell vectors:
1 La 0.000 0.226 0.000
2 La 0.000 0.774 0.000
3 La 0.327 0.254 0.653
4 La 0.327 0.746 0.653
5 La 0.673 0.254 0.347
6 La 0.673 0.746 0.347
7 Ho 0.500 0.500 0.000
8 Hg 0.147 0.500 0.295
9 Hg 0.167 0.000 0.336
10 Hg 0.500 0.000 0.000
11 Hg 0.833 0.000 0.664
12 Hg 0.853 0.500 0.705

Top 8 peaks for 10° ≤ 2θ ≤ 80°, by angle:
Position (°2θ)  Rel. int.
31.81  24
32.14  100
32.72  25
46.28  17
56.90  24
57.50  10
58.03  19
67.23  11

No. 11
Starting from a PBE-relaxed structure, the powder diffraction line list of La4HoHg was simulated for λ = 1.5418 Å (Cu Kα).
Lines closer than 0.1° are merged.

Crystal structure
a b c (Å): 3.766 3.766 14.154
angles (deg): 90.00 90.00 90.00
Sites, in units of the cell vectors:
1 La 0.000 0.000 0.147
2 La 0.000 0.000 0.853
3 La 0.500 0.500 0.327
4 La 0.500 0.500 0.673
5 Ho 0.000 0.000 0.500
6 Hg 0.500 0.500 0.000

Top 8 peaks for 10° ≤ 2θ ≤ 80°, by angle:
Position (°2θ)  Rel. int.
30.37  100
33.65  40
38.15  12
48.33  15
51.77  20
58.15  32
63.17  12
64.18  8

No. 12
Starting from a PBE-relaxed structure, the powder diffraction line list of LaPmHoHg was simulated for λ = 1.5418 Å (Cu Kα).
Lines closer than 0.1° are merged.

Crystal structure
a b c (Å): 3.708 3.708 8.914
angles (deg): 90.00 90.00 90.00
Sites, in units of the cell vectors:
1 La 0.000 0.000 0.000
2 Pm 0.500 0.500 0.711
3 Ho 0.500 0.500 0.281
4 Hg 0.000 0.000 0.481

Top 8 peaks for 10° ≤ 2θ ≤ 80°, by angle:
Position (°2θ)  Rel. int.
31.38  100
34.20  44
38.84  10
40.48  9
49.14  16
54.00  16
59.48  33
65.49  9

No. 13
Starting from a PBE-relaxed structure, the powder diffraction line list of La2PmHoHg2 was simulated for λ = 1.5418 Å (Cu Kα).
Lines closer than 0.1° are merged.

Crystal structure
a b c (Å): 5.195 9.664 7.305
angles (deg): 90.00 90.00 90.00
Sites, in units of the cell vectors:
1 La 0.000 0.058 0.000
2 La 0.000 0.942 0.500
3 La 0.500 0.171 0.314
4 La 0.500 0.829 0.814
5 Pm 0.500 0.444 0.973
6 Pm 0.500 0.556 0.473
7 Ho 0.000 0.327 0.654
8 Ho 0.000 0.673 0.154
9 Hg 0.000 0.365 0.232
10 Hg 0.000 0.635 0.732
11 Hg 0.500 0.161 0.748
12 Hg 0.500 0.839 0.248

Top 8 peaks for 10° ≤ 2θ ≤ 80°, by angle:
Position (°2θ)  Rel. int.
28.02  33
29.91  20
30.68  27
31.34  100
32.71  86
34.53  57
41.21  22
46.85  19